Entry 1:
Structure and computed powder XRD pattern of LiHfMg14O15 (a structure optimized by DFT (PBE); Cu Kα).
Peak positions follow from Bragg's law for the DFT cell and can differ from measured ones.

Peak list (6 most intense, 5 to 70 degrees two-theta, in order of rising 2θ)
d = 8.587 Å, I 100
d = 3.842 Å, I 89
d = 2.863 Å, I 65
d = 2.149 Å, I 92
d = 2.143 Å, I 45
d = 1.518 Å, I 79

Structural model:
a = 4.299 Å, b = 8.573 Å, c = 8.597 Å
α = 90.00°, β = 90.00°, γ = 90.00°
Fractional coordinates of all 31 atoms:
Li 0.000 0.000 0.000
Hf 0.000 0.500 0.507
Mg 0.000 0.000 0.500
Mg 0.000 0.239 0.762
Mg 0.000 0.242 0.239
Mg 0.000 0.500 0.001
Mg 0.000 0.758 0.239
Mg 0.000 0.761 0.762
Mg 0.500 0.000 0.242
Mg 0.500 0.000 0.759
Mg 0.500 0.240 0.501
Mg 0.500 0.243 0.999
Mg 0.500 0.500 0.241
Mg 0.500 0.500 0.756
Mg 0.500 0.757 0.999
Mg 0.500 0.760 0.501
O 0.000 0.000 0.261
O 0.000 0.000 0.739
O 0.000 0.256 0.499
O 0.000 0.258 0.000
O 0.000 0.500 0.248
O 0.000 0.742 0.000
O 0.000 0.744 0.499
O 0.500 0.000 0.001
O 0.500 0.000 0.499
O 0.500 0.246 0.749
O 0.500 0.251 0.252
O 0.500 0.500 0.000
O 0.500 0.500 0.494
O 0.500 0.749 0.252
O 0.500 0.754 0.749


Entry 2:
Structure and computed powder XRD pattern of Na3SnPCO7 (a structure optimized by DFT (PBE); Cu Kα).
Peak positions follow from Bragg's law for the DFT cell and can differ from measured ones.

Peak list (6 most intense, 5 to 70 degrees two-theta, in order of rising 2θ)
d = 9.336 Å, I 98
d = 4.961 Å, I 53
d = 3.633 Å, I 100
d = 2.931 Å, I 72
d = 2.731 Å, I 58
d = 2.346 Å, I 48

Structural model:
a = 5.496 Å, b = 7.266 Å, c = 9.394 Å
α = 90.00°, β = 96.38°, γ = 90.00°
Fractional coordinates of all 26 atoms:
Na 0.221 0.250 0.094
Na 0.249 0.520 0.725
Na 0.249 0.980 0.725
Na 0.751 0.020 0.275
Na 0.751 0.480 0.275
Na 0.779 0.750 0.906
Sn 0.259 0.750 0.342
Sn 0.741 0.250 0.658
P 0.288 0.250 0.405
P 0.712 0.750 0.595
C 0.319 0.750 0.038
C 0.681 0.250 0.962
O 0.100 0.750 0.077
O 0.176 0.079 0.319
O 0.176 0.421 0.319
O 0.239 0.250 0.565
O 0.356 0.750 0.905
O 0.428 0.750 0.598
O 0.492 0.250 0.861
O 0.508 0.750 0.139
O 0.572 0.250 0.402
O 0.644 0.250 0.095
O 0.761 0.750 0.435
O 0.824 0.579 0.681
O 0.824 0.921 0.681
O 0.900 0.250 0.923


Entry 3:
Structure and computed powder XRD pattern of Mg16Al12Hg (a structure optimized by DFT (PBE); Cu Kα).
Peak positions follow from Bragg's law for the DFT cell and can differ from measured ones.

Peak list (6 most intense, 5 to 70 degrees two-theta, in order of rising 2θ)
d = 7.527 Å, I 76
d = 7.410 Å, I 94
d = 2.509 Å, I 100
d = 2.487 Å, I 76
d = 2.472 Å, I 90
d = 2.237 Å, I 50

Structural model:
a = 9.100 Å, b = 9.100 Å, c = 9.100 Å
α = 109.04°, β = 109.04°, γ = 109.04°
Fractional coordinates of all 29 atoms:
Mg 0.000 0.000 0.000
Mg 0.004 0.004 0.350
Mg 0.004 0.350 0.004
Mg 0.006 0.325 0.604
Mg 0.006 0.604 0.325
Mg 0.294 0.691 0.691
Mg 0.325 0.006 0.604
Mg 0.325 0.604 0.006
Mg 0.350 0.004 0.004
Mg 0.409 0.409 0.711
Mg 0.409 0.711 0.409
Mg 0.604 0.006 0.325
Mg 0.604 0.325 0.006
Mg 0.691 0.294 0.691
Mg 0.691 0.691 0.294
Mg 0.711 0.409 0.409
Al 0.013 0.641 0.825
Al 0.013 0.825 0.641
Al 0.176 0.364 0.364
Al 0.191 0.191 0.818
Al 0.191 0.818 0.191
Al 0.364 0.176 0.364
Al 0.364 0.364 0.176
Al 0.641 0.013 0.825
Al 0.641 0.825 0.013
Al 0.818 0.191 0.191
Al 0.825 0.013 0.641
Al 0.825 0.641 0.013
Hg 0.670 0.670 0.670


Entry 4:
Structure and computed powder XRD pattern of ScSnPt (a structure optimized by DFT (PBE); Cu Kα).
Peak positions follow from Bragg's law for the DFT cell and can differ from measured ones.

Peak list (6 most intense, 5 to 70 degrees two-theta, in order of rising 2θ)
d = 3.730 Å, I 83
d = 2.639 Å, I 45
d = 2.443 Å, I 100
d = 2.153 Å, I 63
d = 2.043 Å, I 72
d = 1.410 Å, I 48

Structural model:
a = 7.457 Å, b = 7.457 Å, c = 3.736 Å
α = 90.00°, β = 90.00°, γ = 120.00°
Fractional coordinates of all 9 atoms:
Sc 0.000 0.602 0.000
Sc 0.398 0.398 0.000
Sc 0.602 0.000 0.000
Sn 0.000 0.269 0.500
Sn 0.269 0.000 0.500
Sn 0.731 0.731 0.500
Pt 0.000 0.000 0.000
Pt 0.333 0.667 0.500
Pt 0.667 0.333 0.500


Entry 5:
Structure and computed powder XRD pattern of LaMoN3 (a structure optimized by DFT (PBE); Cu Kα).
Peak positions follow from Bragg's law for the DFT cell and can differ from measured ones.

Peak list (6 most intense, 5 to 70 degrees two-theta, in order of rising 2θ)
d = 2.990 Å, I 100
d = 2.757 Å, I 39
d = 2.330 Å, I 11
d = 1.949 Å, I 21
d = 1.779 Å, I 22
d = 1.633 Å, I 33

Structural model:
a = 3.898 Å, b = 3.898 Å, c = 4.660 Å
α = 90.00°, β = 90.00°, γ = 90.00°
Fractional coordinates of all 5 atoms:
La 0.000 0.000 0.000
Mo 0.500 0.500 0.443
N 0.000 0.500 0.326
N 0.500 0.000 0.326
N 0.500 0.500 0.826


Entry 6:
Structure and computed powder XRD pattern of CaAl2Si3O13 (a structure optimized by DFT (PBE); Cu Kα).
Peak positions follow from Bragg's law for the DFT cell and can differ from measured ones.

Peak list (6 most intense, 5 to 70 degrees two-theta, in order of rising 2θ)
d = 6.501 Å, I 64
d = 6.009 Å, I 100
d = 4.402 Å, I 28
d = 3.004 Å, I 27
d = 2.866 Å, I 40
d = 2.827 Å, I 63

Structural model:
a = 9.741 Å, b = 9.741 Å, c = 9.726 Å
α = 96.15°, β = 96.15°, γ = 139.80°
Fractional coordinates of all 38 atoms:
Ca 0.105 0.895 0.500
Ca 0.895 0.105 0.000
Al 0.029 0.475 0.521
Al 0.166 0.227 0.384
Al 0.227 0.166 0.884
Al 0.475 0.029 0.021
Si 0.060 0.733 0.763
Si 0.156 0.981 0.148
Si 0.496 0.740 0.460
Si 0.733 0.060 0.263
Si 0.740 0.496 0.960
Si 0.981 0.156 0.648
O 0.034 0.354 0.634
O 0.045 0.571 0.267
O 0.047 0.461 0.078
O 0.074 0.191 0.816
O 0.087 0.132 0.540
O 0.132 0.087 0.040
O 0.136 0.951 0.755
O 0.191 0.074 0.316
O 0.264 0.807 0.862
O 0.291 0.677 0.485
O 0.354 0.034 0.134
O 0.412 0.514 0.422
O 0.461 0.047 0.578
O 0.514 0.412 0.922
O 0.569 0.845 0.325
O 0.571 0.045 0.767
O 0.575 0.685 0.865
O 0.616 0.991 0.093
O 0.677 0.291 0.985
O 0.685 0.575 0.365
O 0.710 0.916 0.605
O 0.807 0.264 0.362
O 0.845 0.569 0.825
O 0.916 0.710 0.105
O 0.951 0.136 0.255
O 0.991 0.616 0.593


Entry 7:
Structure and computed powder XRD pattern of CuHgO2 (a structure optimized by DFT (PBE); Cu Kα).
Peak positions follow from Bragg's law for the DFT cell and can differ from measured ones.

Peak list (6 most intense, 5 to 70 degrees two-theta, in order of rising 2θ)
d = 5.621 Å, I 72
d = 3.214 Å, I 100
d = 2.630 Å, I 60
d = 2.597 Å, I 89
d = 2.308 Å, I 88
d = 1.818 Å, I 56

Structural model:
a = 3.750 Å, b = 3.750 Å, c = 6.016 Å
α = 109.08°, β = 109.08°, γ = 46.92°
Fractional coordinates of all 4 atoms:
Cu 0.000 0.000 0.000
Hg 0.500 0.500 0.500
O 0.387 0.387 0.780
O 0.613 0.613 0.220